1.
Diffraction record for Ag2HgGeSe2S2. The powder XRD pattern is theoretical, not measured: it uses DFT lattice parameters and positions (GGA-PBE) and a wavelength of 1.5418 Å.

Most intense lines, 10 to 90 degrees two-theta, in order of rising 2θ:
2θ (°)	I_rel
26.07	90
26.26	100
30.31	26
43.12	21
43.40	80
43.62	19
51.19	30
51.36	17
51.50	37
69.61	13

Cell lengths 13.1341, 5.8930, 5.9056 Å; angles 90.00, 116.09, 90.00 degrees
Sites, in units of the cell vectors:
Ag: 0.2503 0.0000 0.2247
Ag: 0.2497 0.5000 0.7753
Ag: 0.7497 0.0000 0.7753
Ag: 0.7503 0.5000 0.2247
Hg: 0.0000 0.0019 0.5000
Hg: 0.5000 0.5019 0.5000
Ge: 0.0000 0.4853 0.0000
Ge: 0.5000 0.9853 0.0000
Se: 0.1243 0.7205 0.3495
Se: 0.3757 0.2205 0.6505
Se: 0.6243 0.2205 0.3495
Se: 0.8757 0.7205 0.6505
S: 0.1157 0.2703 0.8912
S: 0.3843 0.7703 0.1088
S: 0.6157 0.7703 0.8912
S: 0.8843 0.2703 0.1088



2.
Diffraction record for Co3GeH. The powder XRD pattern is theoretical, not measured: it uses DFT lattice parameters and positions (GGA-PBE) and a wavelength of 1.5418 Å.

Most intense lines, 10 to 90 degrees two-theta, in order of rising 2θ:
2θ (°)	I_rel
35.39	1
43.77	100
50.74	16
51.10	31
74.89	19
75.18	9

Cell lengths 5.0721, 5.0721, 5.0721 Å; angles 120.22, 120.22, 89.62 degrees
Sites, in units of the cell vectors:
Co: 0.2449 0.7449 0.9897
Co: 0.2500 0.2500 0.0000
Co: 0.2551 0.2449 0.5000
Co: 0.7449 0.7551 0.5000
Co: 0.7500 0.7500 0.0000
Co: 0.7551 0.2551 0.0103
Ge: 0.2500 0.7500 0.5000
Ge: 0.7500 0.2500 0.5000
H: 0.0000 0.0000 0.0000
H: 0.5000 0.5000 0.0000



3.
Diffraction record for TlGe5Pd3. The powder XRD pattern is theoretical, not measured: it uses DFT lattice parameters and positions (GGA-PBE) and a wavelength of 1.5418 Å.

Most intense lines, 10 to 90 degrees two-theta, in order of rising 2θ:
2θ (°)	I_rel
22.91	42
26.71	21
32.49	60
32.74	42
35.24	50
37.69	37
44.95	29
46.80	100
68.05	26
68.62	21

Cell lengths 5.5112, 5.5112, 6.6755 Å; angles 90.00, 90.00, 120.00 degrees
Sites, in units of the cell vectors:
Tl: 0.0000 0.0000 0.0000
Ge: 0.0000 0.0000 0.5000
Ge: 0.3333 0.6667 0.1936
Ge: 0.3333 0.6667 0.8064
Ge: 0.6667 0.3333 0.1936
Ge: 0.6667 0.3333 0.8064
Pd: 0.0000 0.5000 0.5000
Pd: 0.5000 0.0000 0.5000
Pd: 0.5000 0.5000 0.5000



4.
Diffraction record for Co6W6C. The powder XRD pattern is theoretical, not measured: it uses DFT lattice parameters and positions (GGA-PBE) and a wavelength of 1.5418 Å.

Most intense lines, 10 to 90 degrees two-theta, in order of rising 2θ:
2θ (°)	I_rel
32.89	33
35.94	27
40.58	52
43.16	100
47.20	41
60.72	14
65.87	15
70.81	15
73.82	43
89.54	16

Cell lengths 7.7018, 7.7018, 7.7018 Å; angles 60.00, 60.00, 60.00 degrees
Sites, in units of the cell vectors:
Co: 0.0000 0.0000 0.0000
Co: 0.0000 0.0000 0.5000
Co: 0.0000 0.5000 0.0000
Co: 0.1239 0.7920 0.7920
Co: 0.2080 0.2080 0.2080
Co: 0.2080 0.2080 0.8761
Co: 0.2080 0.8761 0.2080
Co: 0.5000 0.0000 0.0000
Co: 0.7920 0.1239 0.7920
Co: 0.7920 0.7920 0.1239
Co: 0.7920 0.7920 0.7920
Co: 0.8761 0.2080 0.2080
W: 0.1753 0.1753 0.5747
W: 0.1753 0.5747 0.1753
W: 0.1753 0.5747 0.5747
W: 0.4253 0.4253 0.8247
W: 0.4253 0.8247 0.4253
W: 0.4253 0.8247 0.8247
W: 0.5747 0.1753 0.1753
W: 0.5747 0.1753 0.5747
W: 0.5747 0.5747 0.1753
W: 0.8247 0.4253 0.4253
W: 0.8247 0.4253 0.8247
W: 0.8247 0.8247 0.4253
C: 0.3750 0.3750 0.3750
C: 0.6250 0.6250 0.6250



5.
Diffraction record for ZnSi16Ge12P3. The powder XRD pattern is theoretical, not measured: it uses DFT lattice parameters and positions (GGA-PBE) and a wavelength of 1.5418 Å.

Most intense lines, 10 to 90 degrees two-theta, in order of rising 2θ:
2θ (°)	I_rel
27.70	51
27.81	49
27.94	100
45.94	24
46.19	24
46.34	46
46.42	46
54.87	14
55.02	34
86.08	15

Cell lengths 6.7739, 10.3886, 10.3951 Å; angles 94.60, 108.67, 96.37 degrees
Sites, in units of the cell vectors:
Zn: 0.0000 0.0000 0.0000
Si: 0.2466 0.7664 0.2516
Si: 0.3115 0.4476 0.8150
Si: 0.3592 0.7175 0.4805
Si: 0.4104 0.4012 0.0428
Si: 0.4427 0.8254 0.9380
Si: 0.5402 0.7835 0.1706
Si: 0.6050 0.4624 0.7381
Si: 0.6216 0.8796 0.6295
Si: 0.7316 0.8349 0.8588
Si: 0.7379 0.2628 0.7536
Si: 0.7935 0.5264 0.4222
Si: 0.8184 0.9444 0.3167
Si: 0.8592 0.6343 0.8758
Si: 0.9158 0.9041 0.5497
Si: 0.9252 0.3251 0.4354
Si: 0.9787 0.6007 0.1088
Ge: 0.0340 0.2777 0.6696
Ge: 0.0622 0.7008 0.5629
Ge: 0.1124 0.3957 0.1203
Ge: 0.1655 0.6516 0.8034
Ge: 0.2217 0.3394 0.3562
Ge: 0.3595 0.1280 0.3765
Ge: 0.4786 0.0833 0.6164
Ge: 0.4992 0.5129 0.5045
Ge: 0.5551 0.1973 0.0539
Ge: 0.6672 0.1458 0.2938
Ge: 0.6784 0.5749 0.1873
Ge: 0.8660 0.2068 0.9813
P: 0.1005 0.9570 0.2351
P: 0.1767 0.0684 0.6945
P: 0.2985 0.0159 0.9247



6.
Diffraction record for LaNd2Al7Cu2. The powder XRD pattern is theoretical, not measured: it uses DFT lattice parameters and positions (GGA-PBE) and a wavelength of 1.5418 Å.

Most intense lines, 10 to 90 degrees two-theta, in order of rising 2θ:
2θ (°)	I_rel
18.60	33
20.53	28
30.33	46
31.94	86
33.21	32
37.21	26
38.27	100
61.16	25
63.12	27
66.77	19

Cell lengths 9.2390, 9.2390, 9.2390 Å; angles 35.31, 35.31, 35.31 degrees
Sites, in units of the cell vectors:
La: 0.0000 0.0000 0.0000
Nd: 0.1416 0.1416 0.1416
Nd: 0.8584 0.8584 0.8584
Al: 0.0717 0.5808 0.5808
Al: 0.4192 0.4192 0.9283
Al: 0.4192 0.9283 0.4192
Al: 0.5000 0.5000 0.5000
Al: 0.5808 0.0717 0.5808
Al: 0.5808 0.5808 0.0717
Al: 0.9283 0.4192 0.4192
Cu: 0.3354 0.3354 0.3354
Cu: 0.6646 0.6646 0.6646



7.
Diffraction record for ScNb2Co. The powder XRD pattern is theoretical, not measured: it uses DFT lattice parameters and positions (GGA-PBE) and a wavelength of 1.5418 Å.

Most intense lines, 10 to 90 degrees two-theta, in order of rising 2θ:
2θ (°)	I_rel
23.95	11
39.61	100
46.82	5
57.26	16
62.95	2
71.86	32
76.99	2
85.31	10

Cell lengths 6.4359, 6.4359, 6.4359 Å; angles 90.00, 90.00, 90.00 degrees
Sites, in units of the cell vectors:
Sc: 0.0000 0.0000 0.0000
Sc: 0.0000 0.5000 0.5000
Sc: 0.5000 0.0000 0.5000
Sc: 0.5000 0.5000 0.0000
Nb: 0.0000 0.0000 0.5000
Nb: 0.0000 0.5000 0.0000
Nb: 0.2500 0.2500 0.7500
Nb: 0.2500 0.7500 0.2500
Nb: 0.5000 0.0000 0.0000
Nb: 0.5000 0.5000 0.5000
Nb: 0.7500 0.2500 0.2500
Nb: 0.7500 0.7500 0.7500
Co: 0.2500 0.2500 0.2500
Co: 0.2500 0.7500 0.7500
Co: 0.7500 0.2500 0.7500
Co: 0.7500 0.7500 0.2500



8.
Diffraction record for CsTa3Pb5. The powder XRD pattern is theoretical, not measured: it uses DFT lattice parameters and positions (GGA-PBE) and a wavelength of 1.5418 Å.

Most intense lines, 10 to 90 degrees two-theta, in order of rising 2θ:
2θ (°)	I_rel
25.92	61
28.32	25
30.93	62
36.43	34
37.14	36
38.08	31
40.78	100
49.84	25
70.65	24
77.38	24

Cell lengths 5.7828, 5.7828, 9.4527 Å; angles 90.00, 90.00, 120.00 degrees
Sites, in units of the cell vectors:
Cs: 0.0000 0.0000 0.0000
Ta: 0.0000 0.5000 0.5000
Ta: 0.5000 0.0000 0.5000
Ta: 0.5000 0.5000 0.5000
Pb: 0.0000 0.0000 0.5000
Pb: 0.3333 0.6667 0.2269
Pb: 0.3333 0.6667 0.7731
Pb: 0.6667 0.3333 0.2269
Pb: 0.6667 0.3333 0.7731



9.
Diffraction record for Li6Zr4O11. The powder XRD pattern is theoretical, not measured: it uses DFT lattice parameters and positions (GGA-PBE) and a wavelength of 1.5418 Å.

Most intense lines, 10 to 90 degrees two-theta, in order of rising 2θ:
2θ (°)	I_rel
17.55	29
18.58	100
21.15	23
21.53	19
21.87	16
30.97	21
35.52	19
38.67	36
39.92	20
45.61	21

Cell lengths 5.2965, 5.3489, 9.7039 Å; angles 76.34, 76.75, 74.07 degrees
Sites, in units of the cell vectors:
Li: 0.0000 0.0000 0.0000
Li: 0.0626 0.4146 0.8247
Li: 0.2569 0.9922 0.6539
Li: 0.4197 0.0358 0.3005
Li: 0.5385 0.4327 0.4290
Li: 0.8599 0.3418 0.1393
Zr: 0.1371 0.6738 0.2541
Zr: 0.4571 0.6398 0.9278
Zr: 0.6514 0.1747 0.7561
Zr: 0.8526 0.7218 0.5656
O: 0.0879 0.6167 0.0524
O: 0.1564 0.0335 0.1660
O: 0.2009 0.7708 0.4528
O: 0.3071 0.0437 0.8606
O: 0.4117 0.5737 0.7415
O: 0.4880 0.4063 0.2406
O: 0.5939 0.0974 0.5649
O: 0.7281 0.2821 0.9442
O: 0.7678 0.6713 0.3800
O: 0.8291 0.7762 0.7919
O: 0.9768 0.3242 0.6456